Theoretical powder diffractogram of LiNpGaCl6 for CuKα, from a GGA-PBE-relaxed structure.

Structural model:
```
18
Lattice="4.6035 -4.6116 0.0000 4.6035 4.6116 0.0000 0.0000 0.0000 12.2470" Properties=species:S:1:pos:R:3 pbc="T T T"
Li 0.0000 0.0000 0.0000
Li 4.6035 0.0000 6.1076
Np 0.0000 0.0000 8.2597
Np 4.6035 0.0000 2.1299
Ga 0.0000 0.0000 4.1231
Ga 4.6035 0.0000 10.2359
Cl 1.6739 0.0000 10.2962
Cl 1.8721 0.0000 6.4236
Cl 1.9798 0.0000 1.9551
Cl 4.6035 1.9903 8.0808
Cl 4.6035 1.8699 0.2939
Cl 4.6035 1.6757 4.1661
Cl 4.6035 -1.6757 4.1661
Cl 4.6035 -1.8699 0.2939
Cl 4.6035 -1.9903 8.0808
Cl 7.2273 0.0000 1.9551
Cl 7.3350 0.0000 6.4236
Cl 7.5332 0.0000 10.2962
```

Largest 8 diffraction maxima, by angle, 10 to 90 degrees two-theta:
2θ = 14.46°, I = 30
2θ = 15.40°, I = 100
2θ = 19.26°, I = 79
2θ = 24.17°, I = 33
2θ = 25.75°, I = 42
2θ = 31.56°, I = 32
2θ = 37.94°, I = 67
2θ = 47.41°, I = 30